[1]
Starting from DFT lattice parameters and positions (PBE), the X-ray diffraction stick pattern of Rb2TmAgCl6 was computed for Cu Kα.
Intensities are scaled so that the largest is 100.

Top 12 peaks for 2θ = 10–90°, in order of falling intensity:
| two_theta | I (rel.) | index |
| --- | --- | --- |
| 23.53 | 100 | 2 2 0 |
| 33.51 | 63 | 4 0 0 |
| 41.35 | 46 | 4 2 2 |
| 48.12 | 43 | 4 4 0 |
| 16.58 | 27 | 2 0 0 |
| 65.28 | 24 | 6 4 2 |
| 54.24 | 21 | 6 2 0 |
| 80.28 | 18 | 8 4 0 |
| 89.85 | 14 | 8 4 4 |
| 59.91 | 14 | 4 4 4 |
| 37.61 | 13 | 4 2 0 |
| 75.41 | 12 | 6 6 0 |

Cell and atoms:
```
data_Rb2TmAgCl6
_cell_length_a 10.696
_cell_length_b 10.696
_cell_length_c 10.696
_cell_angle_alpha 90.00
_cell_angle_beta 90.00
_cell_angle_gamma 90.00
_symmetry_space_group_name_H-M 'F m -3 m'
_symmetry_Int_Tables_number 225
_symmetry_space_group_name_Hall '-F 4 2 3'
loop_
_atom_site_label
_atom_site_type_symbol
_atom_site_fract_x
_atom_site_fract_y
_atom_site_fract_z
Rb1 Rb 0.250 0.250 0.250
Tm1 Tm 0.000 0.000 0.000
Ag1 Ag 0.000 0.000 0.500
Cl1 Cl 0.000 0.000 0.243
```

---

[2]
Starting from DFT lattice parameters and positions (PBE), the X-ray diffraction stick pattern of ReAg2Cl6 was computed for Cu Kα.
Intensities are scaled so that the largest is 100.

Top 12 peaks for 2θ = 10–90°, in order of falling intensity:
| two_theta | I (rel.) | index |
| --- | --- | --- |
| 24.94 | 100 | 1 0 4 |
| 30.41 | 78 | 1 1 3 |
| 15.96 | 77 | 1 0 1 |
| 14.72 | 68 | 0 0 3 |
| 26.46 | 63 | 1 1 0 |
| 36.68 | 59 | 0 2 4 |
| 45.80 | 46 | 2 1 4 |
| 46.71 | 42 | 3 0 0 |
| 54.76 | 22 | 3 -1 7 |
| 38.14 | 22 | 1 0 7 |
| 47.02 | 19 | 0 2 7 |
| 51.17 | 18 | 2 0 8 |

Cell and atoms:
```
data_ReAg2Cl6
_cell_length_a 6.7364
_cell_length_b 6.7364
_cell_length_c 18.0594
_cell_angle_alpha 90.00
_cell_angle_beta 90.00
_cell_angle_gamma 120.00
_symmetry_space_group_name_H-M 'R -3'
_symmetry_Int_Tables_number 148
_symmetry_space_group_name_Hall '-R 3'
loop_
_atom_site_label
_atom_site_type_symbol
_atom_site_fract_x
_atom_site_fract_y
_atom_site_fract_z
Re1 Re 0.0000 0.0000 0.0000
Ag1 Ag 0.0000 0.0000 0.2657
Cl1 Cl 0.0315 0.6358 0.7433
```

---

[3]
Starting from DFT lattice parameters and positions (PBE), the X-ray diffraction stick pattern of TlAgCl3 was computed for Cu Kα.
Intensities are scaled so that the largest is 100.

Top 12 peaks for 2θ = 10–90°, in order of falling intensity:
| two_theta | I (rel.) | index |
| --- | --- | --- |
| 24.55 | 100 | 1 1 0 |
| 35.00 | 47 | 2 0 0 |
| 43.22 | 46 | 2 1 1 |
| 50.33 | 32 | 2 2 0 |
| 68.47 | 24 | 3 2 1 |
| 56.78 | 21 | 3 1 0 |
| 30.19 | 20 | 1 1 1 |
| 84.50 | 14 | 4 2 0 |
| 79.27 | 12 | 4 1 1 |
| 62.78 | 11 | 2 2 2 |
| 59.82 | 8 | 3 1 1 |
| 89.69 | 6 | 3 3 2 |

Cell and atoms:
```
data_TlAgCl3
_cell_length_a 5.126
_cell_length_b 5.126
_cell_length_c 5.130
_cell_angle_alpha 90.00
_cell_angle_beta 90.00
_cell_angle_gamma 90.00
_symmetry_space_group_name_H-M 'P 4 m m'
_symmetry_Int_Tables_number 99
loop_
_symmetry_equiv_pos_as_xyz
'x,y,z'
'-y,x,z'
'-x,-y,z'
'y,-x,z'
'-x,y,z'
'y,x,z'
'x,-y,z'
'-y,-x,z'
loop_
_atom_site_label
_atom_site_type_symbol
_atom_site_fract_x
_atom_site_fract_y
_atom_site_fract_z
Tl1 Tl 0.000 0.000 0.000
Ag1 Ag 0.500 0.500 0.486
Cl1 Cl 0.000 0.500 0.484
Cl2 Cl 0.500 0.500 0.986
```

---

[4]
Starting from DFT lattice parameters and positions (PBE), the X-ray diffraction stick pattern of TlAgCl3 was computed for Cu Kα.
Intensities are scaled so that the largest is 100.

Top 12 peaks for 2θ = 10–90°, in order of falling intensity:
| two_theta | I (rel.) | index |
| --- | --- | --- |
| 24.45 | 100 | 1 1 0 |
| 24.64 | 100 | 1 0 4 |
| 34.99 | 88 | 0 2 4 |
| 43.15 | 48 | 2 1 4 |
| 50.11 | 29 | 2 2 0 |
| 30.10 | 27 | 2 0 2 |
| 43.03 | 27 | 3 0 0 |
| 68.19 | 27 | 3 2 4 |
| 50.53 | 27 | 2 0 8 |
| 43.51 | 21 | 0 1 8 |
| 56.91 | 20 | 1 2 8 |
| 56.62 | 20 | 1 3 4 |

Cell and atoms:
```
data_TlAgCl3
_cell_length_a 7.2819
_cell_length_b 7.2819
_cell_length_c 17.6282
_cell_angle_alpha 90.00
_cell_angle_beta 90.00
_cell_angle_gamma 120.00
_symmetry_space_group_name_H-M 'R 3 c'
_symmetry_Int_Tables_number 161
_symmetry_space_group_name_Hall 'R 3 -2"c'
loop_
_atom_site_label
_atom_site_type_symbol
_atom_site_fract_x
_atom_site_fract_y
_atom_site_fract_z
Tl1 Tl 0.0000 0.0000 0.0000
Ag1 Ag 0.0000 0.0000 0.2368
Cl1 Cl 0.1239 0.3351 0.3191
```

---

[5]
Starting from DFT lattice parameters and positions (PBE), the X-ray diffraction stick pattern of CoAg2Sn3S8 was computed for Cu Kα.
Intensities are scaled so that the largest is 100.

Top 12 peaks for 2θ = 10–90°, in order of falling intensity:
| two_theta | I (rel.) | index |
| --- | --- | --- |
| 27.65 | 100 | 0 2 1 |
| 27.79 | 75 | 1 1 3 |
| 48.07 | 73 | 2 2 0 |
| 48.77 | 66 | 2 0 8 |
| 28.07 | 60 | 0 1 5 |
| 33.71 | 58 | 0 2 4 |
| 44.23 | 53 | 1 2 5 |
| 23.83 | 47 | 1 0 4 |
| 44.04 | 23 | 0 3 3 |
| 41.51 | 22 | 2 1 4 |
| 23.50 | 21 | 1 1 0 |
| 67.87 | 21 | 2 2 9 |

Cell and atoms:
```
data_CoAg2Sn3S8
_cell_length_a 7.5716
_cell_length_b 7.5716
_cell_length_c 18.1709
_cell_angle_alpha 90.00
_cell_angle_beta 90.00
_cell_angle_gamma 120.00
_symmetry_space_group_name_H-M 'R -3 m'
_symmetry_Int_Tables_number 166
_symmetry_space_group_name_Hall '-R 3 2"'
loop_
_atom_site_label
_atom_site_type_symbol
_atom_site_fract_x
_atom_site_fract_y
_atom_site_fract_z
Co1 Co 0.0000 0.0000 0.0000
Ag1 Ag 0.0000 0.0000 0.3879
Sn1 Sn 0.0000 0.5000 0.5000
S1 S 0.0000 0.0000 0.2467
S2 S 0.0396 0.5198 0.7466
```

---

[6]
Starting from DFT lattice parameters and positions (PBE), the X-ray diffraction stick pattern of CrAg3 was computed for Cu Kα.
Intensities are scaled so that the largest is 100.

Top 12 peaks for 2θ = 10–90°, in order of falling intensity:
| two_theta | I (rel.) | index |
| --- | --- | --- |
| 37.67 | 100 | 1 1 2 |
| 43.85 | 32 | 2 0 0 |
| 76.47 | 23 | 3 1 2 |
| 63.58 | 20 | 2 0 4 |
| 43.63 | 16 | 0 0 4 |
| 76.16 | 11 | 1 1 6 |
| 80.43 | 10 | 2 2 4 |
| 63.75 | 10 | 2 2 0 |
| 24.07 | 7 | 1 0 1 |
| 21.42 | 2 | 0 0 2 |
| 39.20 | 2 | 1 0 3 |
| 30.62 | 2 | 1 1 0 |

Cell and atoms:
```
data_CrAg3
_cell_length_a 4.129
_cell_length_b 4.129
_cell_length_c 8.298
_cell_angle_alpha 90.00
_cell_angle_beta 90.00
_cell_angle_gamma 90.00
_symmetry_space_group_name_H-M 'I 4/m m m'
_symmetry_Int_Tables_number 139
_symmetry_space_group_name_Hall '-I 4 2'
loop_
_atom_site_label
_atom_site_type_symbol
_atom_site_fract_x
_atom_site_fract_y
_atom_site_fract_z
Cr1 Cr 0.000 0.000 0.000
Ag1 Ag 0.000 0.000 0.500
Ag2 Ag 0.000 0.500 0.250
```

---

[7]
Starting from DFT lattice parameters and positions (PBE), the X-ray diffraction stick pattern of Cr2CuAgS4 was computed for Cu Kα.
Intensities are scaled so that the largest is 100.

Top 12 peaks for 2θ = 10–90°, in order of falling intensity:
| two_theta | I (rel.) | index |
| --- | --- | --- |
| 29.48 | 100 | 2 0 -1 |
| 44.09 | 68 | 1 1 2 |
| 51.60 | 54 | 0 2 0 |
| 30.57 | 49 | 2 0 0 |
| 47.88 | 38 | 1 1 -3 |
| 37.40 | 32 | 1 1 -2 |
| 27.65 | 23 | 0 0 2 |
| 70.17 | 17 | 4 0 1 |
| 34.62 | 16 | 1 1 1 |
| 59.54 | 15 | 3 1 -3 |
| 13.73 | 12 | 0 0 1 |
| 60.55 | 11 | 2 2 -1 |

Cell and atoms:
```
data_Cr2CuAgS4
_cell_length_a 6.141
_cell_length_b 3.539
_cell_length_c 6.771
_cell_angle_alpha 90.00
_cell_angle_beta 107.66
_cell_angle_gamma 90.00
_symmetry_space_group_name_H-M 'P 1 m 1'
_symmetry_Int_Tables_number 6
loop_
_symmetry_equiv_pos_as_xyz
'x,y,z'
'x,-y,z'
loop_
_atom_site_label
_atom_site_type_symbol
_atom_site_fract_x
_atom_site_fract_y
_atom_site_fract_z
Cr1 Cr 0.000 0.000 0.000
Cr2 Cr 0.495 0.500 0.995
Cu1 Cu 0.350 0.500 0.552
Ag1 Ag 0.846 0.000 0.543
S1 S 0.232 0.500 0.200
S2 S 0.266 0.000 0.775
S3 S 0.723 0.000 0.176
S4 S 0.754 0.500 0.790
```

---

[8]
Starting from DFT lattice parameters and positions (PBE), the X-ray diffraction stick pattern of HfCrAgS4 was computed for Cu Kα.
Intensities are scaled so that the largest is 100.

Top 12 peaks for 2θ = 10–90°, in order of falling intensity:
| two_theta | I (rel.) | index |
| --- | --- | --- |
| 28.18 | 100 | 1 2 1 |
| 49.24 | 55 | 2 2 4 |
| 24.00 | 51 | 2 0 0 |
| 28.34 | 51 | 1 0 3 |
| 44.83 | 38 | 3 2 1 |
| 14.64 | 34 | 1 0 1 |
| 49.04 | 28 | 4 0 0 |
| 34.13 | 23 | 2 2 0 |
| 45.15 | 18 | 1 0 5 |
| 57.60 | 14 | 1 4 3 |
| 17.00 | 13 | 0 0 2 |
| 68.65 | 13 | 3 4 3 |

Cell and atoms:
```
data_HfCrAgS4
_cell_length_a 7.428
_cell_length_b 7.434
_cell_length_c 10.429
_cell_angle_alpha 90.00
_cell_angle_beta 90.00
_cell_angle_gamma 90.00
_symmetry_space_group_name_H-M 'I m m a'
_symmetry_Int_Tables_number 74
_symmetry_space_group_name_Hall '-I 2b 2'
loop_
_atom_site_label
_atom_site_type_symbol
_atom_site_fract_x
_atom_site_fract_y
_atom_site_fract_z
Hf1 Hf 0.000 0.000 0.000
Cr1 Cr 0.250 0.250 0.250
Ag1 Ag 0.000 0.250 0.630
S1 S 0.000 0.034 0.243
S2 S 0.234 0.250 0.016
```